TbPrTe3: computed XRD peak list (Cu Kα (λ = 1.5418 Å)), based on a crystal structure in Alexandria, relaxed with GGA-PBE.
Lines closer than 0.1° are merged.

Structural model:
```
data_TbPrTe3
_space_group_name_H-M_alt 'C m c m'
_space_group_IT_number 63
_space_group_name_Hall '-C 2c 2'
_cell_length_a 4.343
_cell_length_b 14.332
_cell_length_c 10.891
_cell_angle_alpha 90.00
_cell_angle_beta 90.00
_cell_angle_gamma 90.00
loop_
_atom_site_label
_atom_site_type_symbol
_atom_site_fract_x
_atom_site_fract_y
_atom_site_fract_z
_atom_site_occupancy
Tb1 Tb 0.000 0.000 0.000 1
Pr1 Pr 0.000 0.249 0.250 1
Te1 Te 0.000 0.090 0.750 1
Te2 Te 0.000 0.353 0.563 1
```

Largest 6 diffraction maxima, in order of rising 2θ, 10° ≤ 2θ ≤ 90°:
index	d/Å	2θ/deg	I/Imax
0 2 3	3.238	27.5	70
1 3 0	3.214	27.8	84
1 3 1	3.082	29.0	100
1 3 2	2.768	32.3	95
0 6 2	2.188	41.3	99
2 0 0	2.171	41.6	57


Tb2PrTe5: computed XRD peak list (Cu Kα (λ = 1.5418 Å)), based on a crystal structure in Alexandria, relaxed with GGA-PBE.
Lines closer than 0.1° are merged.

Structural model:
```
data_Tb2PrTe5
_space_group_name_H-M_alt 'I 4/m c m'
_space_group_IT_number 140
_space_group_name_Hall '-I 4 2c'
_cell_length_a 8.207
_cell_length_b 8.207
_cell_length_c 14.353
_cell_angle_alpha 90.00
_cell_angle_beta 90.00
_cell_angle_gamma 90.00
loop_
_atom_site_label
_atom_site_type_symbol
_atom_site_fract_x
_atom_site_fract_y
_atom_site_fract_z
_atom_site_occupancy
Tb1 Tb 0.151 0.349 0.000 1
Pr1 Pr 0.000 0.000 0.250 1
Te1 Te 0.000 0.000 0.000 1
Te2 Te 0.157 0.343 0.353 1
```

Largest 6 diffraction maxima, in order of rising 2θ, 10° ≤ 2θ ≤ 90°:
index	d/Å	2θ/deg	I/Imax
1 1 4	3.052	29.3	13
2 1 3	2.912	30.7	100
3 1 0	2.595	34.6	51
2 1 5	2.260	39.9	14
4 2 0	1.837	49.6	22
5 2 3	1.452	64.1	21